Starting from a crystal structure in Alexandria, relaxed with PBE+U, the X-ray powder pattern of BaCaVF7 was computed for Cu Kα X-rays.
Intensities are scaled so that the largest is 100.

Top 6 peaks for 10 to 80 degrees two-theta, sorted by position:
| 2θ (°) | I (rel.) | (hkl) |
| --- | --- | --- |
| 24.06 | 100.0 | 1 2 -1 |
| 24.56 | 49.9 | 1 2 1 |
| 25.03 | 41.4 | 1 1 -2 |
| 25.99 | 73.8 | 1 1 2 |
| 37.23 | 42.8 | 2 0 2 |
| 40.86 | 40.2 | 0 2 4 |

a = 5.716 Å, b = 10.979 Å, c = 9.655 Å
α = 90.00°, β = 92.32°, γ = 90.00°
Space group P2_1/c (No. 14)
Asymmetric unit:
Ba 0.228 0.153 0.476 (multiplicity 4)
Ca 0.213 0.571 0.360 (multiplicity 4)
V 0.301 0.653 0.702 (multiplicity 4)
F 0.022 0.738 0.770 (multiplicity 4)
F 0.102 0.520 0.145 (multiplicity 4)
F 0.152 0.508 0.611 (multiplicity 4)
F 0.212 0.731 0.524 (multiplicity 4)
F 0.405 0.557 0.862 (multiplicity 4)
F 0.410 0.108 0.896 (multiplicity 4)
F 0.487 0.703 0.273 (multiplicity 4)